Calculated powder diffraction line list of Cr4AgBiO14 for copper Kα, from a cell relaxed with GGA+U.
Intensities are scaled so that the largest is 100.

Crystal structure
```
data_Cr4AgBiO14
_chemical_formula_sum 'Cr8 Ag2 Bi2 O28'
_space_group_name_H-M_alt 'I 4'
_space_group_IT_number 79
_cell_length_a 8.634
_cell_length_b 8.634
_cell_length_c 8.287
_cell_angle_alpha 90.00
_cell_angle_beta 90.00
_cell_angle_gamma 90.00
loop_
_space_group_symop_operation_xyz
'x,y,z'
'-y,x,z'
'-x,-y,z'
'y,-x,z'
'x+1/2,y+1/2,z+1/2'
'-y+1/2,x+1/2,z+1/2'
'-x+1/2,-y+1/2,z+1/2'
'y+1/2,-x+1/2,z+1/2'
loop_
_atom_site_label
_atom_site_type_symbol
_atom_site_fract_x
_atom_site_fract_y
_atom_site_fract_z
Cr1 Cr 0.120 0.662 0.000
Ag1 Ag 0.000 0.000 0.272
Bi1 Bi 0.000 0.000 0.700
O1 O 0.000 0.500 0.470
O2 O 0.068 0.753 0.162
O3 O 0.102 0.198 0.517
O4 O 0.103 0.778 0.842
```

Principal peaks in the range 5° ≤ 2θ ≤ 70°, in order of falling intensity:
2theta	d (Å)	Rel. int.
25.99	3.429	100
25.45	3.500	94
14.51	6.105	63
32.80	2.730	51
29.89	2.989	41
20.57	4.317	37
40.14	2.247	31
47.07	1.931	30
47.50	1.914	26
14.82	5.979	26



Calculated powder diffraction line list of Cr2AgBiO8 for copper Kα, from a cell relaxed with GGA+U.
Intensities are scaled so that the largest is 100.

Crystal structure
```
data_Cr2AgBiO8
_chemical_formula_sum 'Cr2 Ag1 Bi1 O8'
_space_group_name_H-M_alt 'P -3 m 1'
_space_group_IT_number 164
_space_group_name_Hall '-P 3 2"'
_cell_length_a 5.8612
_cell_length_b 5.8612
_cell_length_c 6.7564
_cell_angle_alpha 90.00
_cell_angle_beta 90.00
_cell_angle_gamma 120.00
loop_
_atom_site_label
_atom_site_type_symbol
_atom_site_fract_x
_atom_site_fract_y
_atom_site_fract_z
Cr1 Cr 0.3333 0.6667 0.3033
Ag1 Ag 0.0000 0.0000 0.5000
Bi1 Bi 0.0000 0.0000 0.0000
O1 O 0.1744 0.3488 0.2252
O2 O 0.3333 0.6667 0.5408
```

Principal peaks in the range 5° ≤ 2θ ≤ 70°, in order of falling intensity:
2theta	d (Å)	Rel. int.
17.47	5.076	100
31.82	2.812	82
30.50	2.931	74
21.90	4.058	56
44.66	2.029	44
55.05	1.668	33
40.76	2.214	32
63.53	1.464	24
47.39	1.919	18
66.46	1.407	14